# SrGd2Ru
Calculated powder diffraction line list, Cu Kα, 1.54184 Å. Input: a structure optimized by DFT (PBE).
Intensities are scaled so that the largest is 100.

Largest 10 diffraction maxima, low angle first, 2θ from 10° to 90°:
- 26.7 deg, intensity 28, (0 0 3)
- 27.0 deg, intensity 26, (1 0 1)
- 31.2 deg, intensity 100, (1 0 2)
- 36.3 deg, intensity 73, (1 1 0)
- 37.2 deg, intensity 57, (1 0 3)
- 44.5 deg, intensity 44, (1 0 4)
- 45.6 deg, intensity 27, (1 1 3)
- 52.2 deg, intensity 26, (2 0 0)
- 62.1 deg, intensity 27, (2 1 2)
- 67.8 deg, intensity 23, (1 1 6)

```
SrGd2Ru
1.0
3.502 0.000 0.000
0.000 3.502 0.000
0.000 0.000 10.004
Sr Gd Ru
1 2 1
direct
0.000 0.000 0.000
0.500 0.500 0.336
0.500 0.500 0.664
0.000 0.000 0.500
```